No. 1
Theoretical powder X-ray diffraction pattern
Compound: Y3HoTh5
Radiation: Cu Kα, 1.54184 Å
Structure: the GGA-PBE geometry in Alexandria
No peak broadening, texture or thermal motion is included.

Atomic structure:
a = 9.6393 Å, b = 9.6393 Å, c = 9.6393 Å
α = 122.64°, β = 122.64°, γ = 85.48°
Atoms (fractional coordinates):
Y1 0.1036 0.6036 0.7072
Y2 0.2500 0.2500 0.0000
Y3 0.3964 0.1036 0.5000
Y4 0.6036 0.8964 0.5000
Y5 0.7500 0.7500 0.0000
Y6 0.8964 0.3964 0.2928
Ho1 0.2500 0.7500 0.5000
Ho2 0.7500 0.2500 0.5000
Th1 0.0000 0.0000 0.0000
Th2 0.0814 0.1637 0.5000
Th3 0.1637 0.6637 0.0824
Th4 0.3363 0.4186 0.5000
Th5 0.4186 0.9186 0.0824
Th6 0.5000 0.5000 0.0000
Th7 0.5814 0.0814 0.9176
Th8 0.6637 0.5814 0.5000
Th9 0.8363 0.3363 0.9176
Th10 0.9186 0.8363 0.5000

Top 10 peaks for 2θ from 5° to 70°, low angle first:
- d = 3.271 Å, I = 595
- d = 3.111 Å, I = 282
- d = 2.811 Å, I = 1000
- d = 2.704 Å, I = 126
- d = 2.525 Å, I = 129
- d = 2.216 Å, I = 211
- d = 2.026 Å, I = 115
- d = 1.786 Å, I = 221
- d = 1.758 Å, I = 117
- d = 1.557 Å, I = 141

No. 2
Theoretical powder X-ray diffraction pattern
Compound: Tb5Pr3Sm3
Radiation: Cu Kα, 1.54184 Å
Structure: the GGA-PBE geometry in Alexandria
No peak broadening, texture or thermal motion is included.

Atomic structure:
a = 9.7069 Å, b = 9.7069 Å, c = 5.5707 Å
α = 90.00°, β = 90.00°, γ = 120.00°
Atoms (fractional coordinates):
Tb1 0.0000 0.7301 0.0000
Tb2 0.2699 0.2699 0.0000
Tb3 0.3333 0.6667 0.0000
Tb4 0.6667 0.3333 0.0000
Tb5 0.7301 0.0000 0.0000
Pr1 0.0000 0.3644 0.0000
Pr2 0.3644 0.0000 0.0000
Pr3 0.6356 0.6356 0.0000
Sm1 0.0000 0.5499 0.5000
Sm2 0.4501 0.4501 0.5000
Sm3 0.5499 0.0000 0.5000

Top 10 peaks for 2θ from 5° to 70°, low angle first:
- d = 8.406 Å, I = 444
- d = 5.571 Å, I = 729
- d = 3.355 Å, I = 781
- d = 3.177 Å, I = 360
- d = 2.802 Å, I = 611
- d = 2.785 Å, I = 627
- d = 2.760 Å, I = 836
- d = 2.503 Å, I = 1000
- d = 2.151 Å, I = 369
- d = 1.975 Å, I = 448

What did the first record say?
Theoretical powder X-ray diffraction pattern
Compound: Y3HoTh5
Radiation: Cu Kα, 1.54184 Å
Structure: the GGA-PBE geometry in Alexandria
No peak broadening, texture or thermal motion is included.

Atomic structure:
a = 9.6393 Å, b = 9.6393 Å, c = 9.6393 Å
α = 122.64°, β = 122.64°, γ = 85.48°
Atoms (fractional coordinates):
Y1 0.1036 0.6036 0.7072
Y2 0.2500 0.2500 0.0000
Y3 0.3964 0.1036 0.5000
Y4 0.6036 0.8964 0.5000
Y5 0.7500 0.7500 0.0000
Y6 0.8964 0.3964 0.2928
Ho1 0.2500 0.7500 0.5000
Ho2 0.7500 0.2500 0.5000
Th1 0.0000 0.0000 0.0000
Th2 0.0814 0.1637 0.5000
Th3 0.1637 0.6637 0.0824
Th4 0.3363 0.4186 0.5000
Th5 0.4186 0.9186 0.0824
Th6 0.5000 0.5000 0.0000
Th7 0.5814 0.0814 0.9176
Th8 0.6637 0.5814 0.5000
Th9 0.8363 0.3363 0.9176
Th10 0.9186 0.8363 0.5000

Top 10 peaks for 2θ from 5° to 70°, low angle first:
- d = 3.271 Å, I = 595
- d = 3.111 Å, I = 282
- d = 2.811 Å, I = 1000
- d = 2.704 Å, I = 126
- d = 2.525 Å, I = 129
- d = 2.216 Å, I = 211
- d = 2.026 Å, I = 115
- d = 1.786 Å, I = 221
- d = 1.758 Å, I = 117
- d = 1.557 Å, I = 141

- What is the formula in the first record?
  Y3HoTh5